# 1
Starting from a crystal structure in Alexandria, relaxed with PBE, the XRD peak list of AlCdGa was computed for CuKα.
No peak broadening, texture or thermal motion is included.

Principal peaks in the range 2θ = 5–70°, low angle first:
2θ 26.3, d 3.393, I 30
2θ 30.2, d 2.963, I 100
2θ 33.0, d 2.718, I 33
2θ 35.0, d 2.567, I 43
2θ 37.0, d 2.431, I 50
2θ 39.9, d 2.262, I 31
2θ 40.4, d 2.233, I 46
2θ 43.2, d 2.095, I 60

a = 4.217 Å, b = 4.217 Å, c = 7.047 Å
α = 101.06°, β = 101.06°, γ = 89.39°
Positions (direct):
Al1 0.000 0.500 0.000
Al2 0.500 0.000 0.000
Cd1 0.126 0.126 0.336
Cd2 0.874 0.874 0.664
Ga1 0.401 0.401 0.727
Ga2 0.599 0.599 0.273


# 2
Starting from a crystal structure in Alexandria, relaxed with PBE, the XRD peak list of La2Al4CdGa3 was computed for CuKα.
No peak broadening, texture or thermal motion is included.

Principal peaks in the range 2θ = 5–70°, low angle first:
2θ 29.9, d 2.991, I 18
2θ 31.7, d 2.824, I 59
2θ 33.1, d 2.708, I 100
2θ 41.1, d 2.197, I 48
2θ 45.9, d 1.975, I 28
2θ 52.8, d 1.734, I 27
2θ 63.3, d 1.469, I 21
2θ 69.8, d 1.347, I 22

a = 4.393 Å, b = 4.393 Å, c = 11.058 Å
α = 90.00°, β = 90.00°, γ = 90.00°
Positions (direct):
La1 0.000 0.500 0.248
La2 0.500 0.000 0.752
Al1 0.000 0.000 0.000
Al2 0.000 0.500 0.640
Al3 0.500 0.000 0.360
Al4 0.500 0.500 0.000
Cd1 0.000 0.000 0.500
Ga1 0.000 0.500 0.868
Ga2 0.500 0.000 0.132
Ga3 0.500 0.500 0.500


# 3
Starting from a crystal structure in Alexandria, relaxed with PBE, the XRD peak list of SrAlCd2Ga was computed for CuKα.
No peak broadening, texture or thermal motion is included.

Principal peaks in the range 2θ = 5–70°, low angle first:
2θ 21.1, d 4.215, I 32
2θ 29.6, d 3.017, I 25
2θ 29.9, d 2.991, I 47
2θ 32.0, d 2.797, I 100
2θ 40.2, d 2.245, I 32
2θ 41.0, d 2.203, I 31
2θ 41.2, d 2.192, I 36
2θ 42.1, d 2.147, I 30

a = 6.873 Å, b = 6.873 Å, c = 6.873 Å
α = 142.60°, β = 141.86°, γ = 54.48°
Positions (direct):
Sr1 0.000 0.000 0.000
Al1 0.266 0.766 0.500
Cd1 0.615 0.615 0.000
Cd2 0.765 0.265 0.500
Ga1 0.394 0.394 0.000


# 4
Starting from a crystal structure in Alexandria, relaxed with PBE, the XRD peak list of K2AlCdH6 was computed for CuKα.
No peak broadening, texture or thermal motion is included.

Principal peaks in the range 2θ = 5–70°, low angle first:
2θ 18.9, d 4.685, I 49
2θ 31.1, d 2.873, I 100
2θ 31.3, d 2.862, I 49
2θ 36.6, d 2.456, I 10
2θ 36.8, d 2.442, I 20
2θ 44.8, d 2.024, I 19
2θ 55.3, d 1.661, I 18
2θ 55.5, d 1.654, I 35

a = 5.724 Å, b = 5.724 Å, c = 5.740 Å
α = 119.84°, β = 119.84°, γ = 90.01°
Positions (direct):
K1 0.250 0.750 0.000
K2 0.750 0.250 0.000
Al1 0.000 0.000 0.500
Cd1 0.500 0.500 0.500
H1 0.222 0.222 0.944
H2 0.223 0.223 0.499
H3 0.223 0.777 0.500
H4 0.777 0.223 0.500
H5 0.777 0.777 0.501
H6 0.778 0.778 0.056


Q: Which formula does entry 3 have?
A: SrAlCd2Ga